(1)
Simulated powder diffraction line list
Compound: Ba2LaAg5Se6
Radiation: Cu Kα (weighted mean of Kα1 and Kα2)
Structure: a DFT-relaxed cell (GGA-PBE, OQMD)

Most intense lines, 10° ≤ 2θ ≤ 80°, sorted by position:
26.29 deg, I = 17.9
28.09 deg, I = 100.0
30.86 deg, I = 37.4
31.03 deg, I = 15.8
36.82 deg, I = 34.9
38.37 deg, I = 16.9
39.55 deg, I = 17.6
40.73 deg, I = 53.8
45.24 deg, I = 16.2
47.08 deg, I = 23.7

Atomic structure:
abc: 7.579 7.579 11.616
angles: 93.53 93.53 34.00
Fractional coordinates of all 14 atoms:
Ba: 0.250 0.250 0.210
Ba: 0.750 0.750 0.790
La: 0.500 0.500 0.000
Ag: 0.000 0.000 0.500
Ag: 0.023 0.023 0.755
Ag: 0.360 0.360 0.532
Ag: 0.640 0.640 0.468
Ag: 0.977 0.977 0.245
Se: 0.135 0.135 0.950
Se: 0.161 0.161 0.600
Se: 0.416 0.416 0.756
Se: 0.584 0.584 0.244
Se: 0.839 0.839 0.400
Se: 0.865 0.865 0.050

=====

(2)
Simulated powder diffraction line list
Compound: Pr3CuSnS7
Radiation: Cu Kα (weighted mean of Kα1 and Kα2)
Structure: a DFT-relaxed cell (GGA-PBE, OQMD)

Most intense lines, 10° ≤ 2θ ≤ 80°, sorted by position:
20.00 deg, I = 17.2
22.72 deg, I = 19.5
24.87 deg, I = 100.0
29.49 deg, I = 26.3
35.01 deg, I = 51.7
35.89 deg, I = 21.0
36.49 deg, I = 23.3
39.50 deg, I = 19.6
40.10 deg, I = 27.9
46.41 deg, I = 26.1

Atomic structure:
abc: 10.252 10.252 6.058
angles: 90.00 90.00 120.00
Fractional coordinates of all 24 atoms:
Pr: 0.133 0.356 0.000
Pr: 0.224 0.867 0.000
Pr: 0.356 0.224 0.500
Pr: 0.644 0.776 0.000
Pr: 0.776 0.133 0.500
Pr: 0.867 0.644 0.500
Cu: 0.000 0.000 0.037
Cu: 0.000 0.000 0.537
Sn: 0.333 0.667 0.426
Sn: 0.667 0.333 0.926
S: 0.089 0.576 0.254
S: 0.096 0.253 0.528
S: 0.157 0.904 0.528
S: 0.253 0.157 0.028
S: 0.333 0.667 0.817
S: 0.424 0.514 0.254
S: 0.486 0.911 0.254
S: 0.514 0.089 0.754
S: 0.576 0.486 0.754
S: 0.667 0.333 0.317
S: 0.747 0.843 0.528
S: 0.843 0.096 0.028
S: 0.904 0.747 0.028
S: 0.911 0.424 0.754

=====

(3)
Simulated powder diffraction line list
Compound: YNbN2O
Radiation: Cu Kα (weighted mean of Kα1 and Kα2)
Structure: a DFT-relaxed cell (GGA-PBE, OQMD)

Most intense lines, 10° ≤ 2θ ≤ 80°, sorted by position:
31.26 deg, I = 45.5
31.79 deg, I = 98.7
31.92 deg, I = 100.0
32.47 deg, I = 48.8
45.51 deg, I = 19.2
45.65 deg, I = 26.7
45.88 deg, I = 21.4
57.13 deg, I = 20.5
57.42 deg, I = 20.7
57.66 deg, I = 21.8

Atomic structure:
abc: 7.917 7.949 11.030
angles: 90.00 133.71 90.00
Fractional coordinates of all 40 atoms:
Y: 0.057 0.232 0.030
Y: 0.057 0.268 0.530
Y: 0.440 0.739 0.472
Y: 0.440 0.761 0.972
Y: 0.560 0.239 0.028
Y: 0.560 0.261 0.528
Y: 0.943 0.732 0.470
Y: 0.943 0.768 0.970
Nb: 0.019 0.010 0.268
Nb: 0.019 0.490 0.768
Nb: 0.484 0.002 0.727
Nb: 0.484 0.498 0.227
Nb: 0.516 0.502 0.773
Nb: 0.516 0.998 0.273
Nb: 0.981 0.510 0.232
Nb: 0.981 0.990 0.732
N: 0.034 0.746 0.217
N: 0.034 0.754 0.717
N: 0.186 0.563 0.001
N: 0.186 0.937 0.501
N: 0.308 0.050 0.309
N: 0.308 0.450 0.809
N: 0.462 0.246 0.682
N: 0.462 0.254 0.182
N: 0.538 0.746 0.818
N: 0.538 0.754 0.318
N: 0.692 0.550 0.191
N: 0.692 0.950 0.691
N: 0.814 0.063 0.499
N: 0.814 0.437 0.999
N: 0.966 0.246 0.283
N: 0.966 0.254 0.783
O: 0.189 0.544 0.499
O: 0.189 0.956 0.999
O: 0.317 0.050 0.820
O: 0.317 0.450 0.320
O: 0.683 0.550 0.680
O: 0.683 0.950 0.180
O: 0.811 0.044 0.001
O: 0.811 0.456 0.501

=====

(4)
Simulated powder diffraction line list
Compound: Sm2GdSb3
Radiation: Cu Kα (weighted mean of Kα1 and Kα2)
Structure: a DFT-relaxed cell (GGA-PBE, OQMD)

Most intense lines, 10° ≤ 2θ ≤ 80°, sorted by position:
24.49 deg, I = 2.3
28.36 deg, I = 100.0
40.53 deg, I = 76.4
47.93 deg, I = 1.3
50.21 deg, I = 27.3
58.67 deg, I = 12.8
66.42 deg, I = 35.0
73.65 deg, I = 6.5
73.77 deg, I = 19.4

Atomic structure:
abc: 4.448 4.448 10.916
angles: 90.00 90.00 120.00
Fractional coordinates of all 6 atoms:
Sm: 0.333 0.667 0.332
Sm: 0.667 0.333 0.668
Gd: 0.000 0.000 0.000
Sb: 0.000 0.000 0.500
Sb: 0.333 0.667 0.836
Sb: 0.667 0.333 0.164

=====

(5)
Simulated powder diffraction line list
Compound: LaLuCu2As4
Radiation: Cu Kα (weighted mean of Kα1 and Kα2)
Structure: a DFT-relaxed cell (GGA-PBE, OQMD)

Most intense lines, 10° ≤ 2θ ≤ 80°, sorted by position:
24.25 deg, I = 22.7
28.81 deg, I = 16.3
35.21 deg, I = 29.9
35.85 deg, I = 14.0
36.89 deg, I = 100.0
46.02 deg, I = 35.9
51.12 deg, I = 17.2
59.24 deg, I = 13.3
71.22 deg, I = 12.7
79.13 deg, I = 20.9

Atomic structure:
abc: 3.944 3.944 10.020
angles: 90.00 90.00 90.00
Fractional coordinates of all 8 atoms:
La: 0.000 0.000 0.000
Lu: 0.500 0.500 0.476
Cu: 0.000 0.500 0.724
Cu: 0.500 0.000 0.724
As: 0.000 0.000 0.568
As: 0.000 0.500 0.249
As: 0.500 0.000 0.249
As: 0.500 0.500 0.878

=====

(6)
Simulated powder diffraction line list
Compound: Tl2PtF6
Radiation: Cu Kα (weighted mean of Kα1 and Kα2)
Structure: a DFT-relaxed cell (GGA-PBE, OQMD)

Most intense lines, 10° ≤ 2θ ≤ 80°, sorted by position:
18.69 deg, I = 29.5
21.61 deg, I = 10.6
30.75 deg, I = 100.0
36.23 deg, I = 15.3
37.90 deg, I = 13.3
44.05 deg, I = 30.8
48.24 deg, I = 6.3
54.68 deg, I = 41.5
64.05 deg, I = 19.5
72.73 deg, I = 18.5

Atomic structure:
abc: 5.815 5.815 5.815
angles: 60.00 60.00 60.00
Fractional coordinates of all 9 atoms:
Tl: 0.250 0.250 0.250
Tl: 0.750 0.750 0.750
Pt: 0.000 0.000 0.000
F: 0.240 0.240 0.760
F: 0.240 0.760 0.240
F: 0.240 0.760 0.760
F: 0.760 0.240 0.240
F: 0.760 0.240 0.760
F: 0.760 0.760 0.240

=====

(7)
Simulated powder diffraction line list
Compound: DyY2FeCo8
Radiation: Cu Kα (weighted mean of Kα1 and Kα2)
Structure: a DFT-relaxed cell (GGA-PBE, OQMD)

Most intense lines, 10° ≤ 2θ ≤ 80°, sorted by position:
33.35 deg, I = 33.9
35.88 deg, I = 41.7
36.46 deg, I = 33.9
41.84 deg, I = 38.6
42.37 deg, I = 16.5
42.63 deg, I = 100.0
45.43 deg, I = 17.2
45.95 deg, I = 13.3
69.12 deg, I = 22.1
76.04 deg, I = 20.9

Atomic structure:
abc: 8.493 8.493 8.493
angles: 34.28 34.28 34.28
Fractional coordinates of all 12 atoms:
Dy: 0.000 0.000 0.000
Y: 0.140 0.140 0.140
Y: 0.860 0.860 0.860
Fe: 0.500 0.500 0.500
Co: 0.080 0.582 0.582
Co: 0.334 0.334 0.334
Co: 0.418 0.418 0.920
Co: 0.418 0.920 0.418
Co: 0.582 0.080 0.582
Co: 0.582 0.582 0.080
Co: 0.666 0.666 0.666
Co: 0.920 0.418 0.418

=====

(8)
Simulated powder diffraction line list
Compound: K2ZnP2Se6
Radiation: Cu Kα (weighted mean of Kα1 and Kα2)
Structure: a DFT-relaxed cell (GGA-PBE, OQMD)

Most intense lines, 10° ≤ 2θ ≤ 80°, sorted by position:
13.00 deg, I = 56.2
13.67 deg, I = 88.9
27.54 deg, I = 28.9
28.11 deg, I = 46.8
28.21 deg, I = 65.3
29.63 deg, I = 100.0
29.74 deg, I = 95.7
30.10 deg, I = 48.1
32.31 deg, I = 32.8
32.80 deg, I = 66.3

Atomic structure:
abc: 12.618 7.362 14.475
angles: 90.00 109.73 90.00
Fractional coordinates of all 44 atoms:
K: 0.088 0.040 0.210
K: 0.088 0.460 0.710
K: 0.396 0.038 0.124
K: 0.396 0.462 0.624
K: 0.604 0.538 0.376
K: 0.604 0.962 0.876
K: 0.912 0.540 0.290
K: 0.912 0.960 0.790
Zn: 0.245 0.581 0.982
Zn: 0.245 0.919 0.482
Zn: 0.755 0.081 0.518
Zn: 0.755 0.419 0.018
P: 0.024 0.607 0.060
P: 0.024 0.893 0.560
P: 0.460 0.039 0.419
P: 0.460 0.461 0.919
P: 0.540 0.539 0.081
P: 0.540 0.961 0.581
P: 0.976 0.107 0.440
P: 0.976 0.393 0.940
Se: 0.113 0.683 0.501
Se: 0.113 0.817 0.001
Se: 0.129 0.004 0.700
Se: 0.129 0.496 0.200
Se: 0.142 0.216 0.438
Se: 0.142 0.284 0.938
Se: 0.332 0.680 0.858
Se: 0.332 0.820 0.358
Se: 0.387 0.191 0.901
Se: 0.387 0.309 0.401
Se: 0.399 0.512 0.141
Se: 0.399 0.988 0.641
Se: 0.601 0.012 0.359
Se: 0.601 0.488 0.859
Se: 0.613 0.691 0.599
Se: 0.613 0.809 0.099
Se: 0.668 0.180 0.642
Se: 0.668 0.320 0.142
Se: 0.858 0.716 0.062
Se: 0.858 0.784 0.562
Se: 0.871 0.504 0.800
Se: 0.871 0.996 0.300
Se: 0.887 0.183 0.999
Se: 0.887 0.317 0.499

=====

(9)
Simulated powder diffraction line list
Compound: Gd3TmTe2C2
Radiation: Cu Kα (weighted mean of Kα1 and Kα2)
Structure: a DFT-relaxed cell (GGA-PBE, OQMD)

Most intense lines, 10° ≤ 2θ ≤ 80°, sorted by position:
26.73 deg, I = 26.4
32.92 deg, I = 100.0
38.27 deg, I = 12.8
47.23 deg, I = 38.3
55.07 deg, I = 3.7
58.74 deg, I = 19.0
62.32 deg, I = 18.7
65.82 deg, I = 10.6
69.04 deg, I = 3.8
78.56 deg, I = 16.3

Atomic structure:
abc: 3.851 3.851 14.111
angles: 90.00 90.00 120.00
Fractional coordinates of all 8 atoms:
Gd: 0.000 0.000 0.000
Gd: 0.000 0.000 0.316
Gd: 0.667 0.333 0.810
Tm: 0.667 0.333 0.500
Te: 0.000 0.000 0.652
Te: 0.667 0.333 0.158
C: 0.333 0.667 0.410
C: 0.333 0.667 0.905

=====

(10)
Simulated powder diffraction line list
Compound: TmInNO
Radiation: Cu Kα (weighted mean of Kα1 and Kα2)
Structure: a DFT-relaxed cell (GGA-PBE, OQMD)

Most intense lines, 10° ≤ 2θ ≤ 80°, sorted by position:
28.26 deg, I = 33.7
29.90 deg, I = 32.5
32.06 deg, I = 100.0
41.61 deg, I = 19.7
50.03 deg, I = 26.5
54.46 deg, I = 28.7
59.39 deg, I = 27.0
60.60 deg, I = 6.3
60.69 deg, I = 10.9
77.08 deg, I = 10.3

Atomic structure:
abc: 3.643 6.321 5.976
angles: 90.00 90.00 90.00
Fractional coordinates of all 8 atoms:
Tm: 0.000 0.162 0.000
Tm: 0.000 0.838 0.500
In: 0.500 0.325 0.491
In: 0.500 0.675 0.991
N: 0.000 0.163 0.369
N: 0.000 0.837 0.869
O: 0.500 0.322 0.888
O: 0.500 0.678 0.388

=====

(11)
Simulated powder diffraction line list
Compound: K2Cd3Se4
Radiation: Cu Kα (weighted mean of Kα1 and Kα2)
Structure: a DFT-relaxed cell (GGA-PBE, OQMD)

Most intense lines, 10° ≤ 2θ ≤ 80°, sorted by position:
12.32 deg, I = 100.0
28.11 deg, I = 75.3
28.63 deg, I = 25.0
28.79 deg, I = 21.6
30.78 deg, I = 45.8
31.91 deg, I = 40.4
37.82 deg, I = 38.9
40.83 deg, I = 29.4
43.14 deg, I = 26.7
47.32 deg, I = 21.8

Atomic structure:
abc: 14.364 10.724 6.922
angles: 90.00 90.00 90.00
Fractional coordinates of all 36 atoms:
K: 0.000 0.000 0.000
K: 0.000 0.500 0.000
K: 0.033 0.250 0.480
K: 0.467 0.750 0.980
K: 0.500 0.000 0.500
K: 0.500 0.500 0.500
K: 0.533 0.250 0.020
K: 0.967 0.750 0.520
Cd: 0.203 0.750 0.228
Cd: 0.246 0.094 0.164
Cd: 0.246 0.406 0.164
Cd: 0.254 0.594 0.664
Cd: 0.254 0.906 0.664
Cd: 0.297 0.250 0.728
Cd: 0.703 0.750 0.272
Cd: 0.746 0.094 0.336
Cd: 0.746 0.406 0.336
Cd: 0.754 0.594 0.836
Cd: 0.754 0.906 0.836
Cd: 0.797 0.250 0.772
Se: 0.131 0.532 0.388
Se: 0.131 0.968 0.388
Se: 0.137 0.250 0.930
Se: 0.142 0.750 0.870
Se: 0.358 0.250 0.370
Se: 0.363 0.750 0.430
Se: 0.369 0.032 0.888
Se: 0.369 0.468 0.888
Se: 0.631 0.532 0.112
Se: 0.631 0.968 0.112
Se: 0.637 0.250 0.570
Se: 0.642 0.750 0.630
Se: 0.858 0.250 0.130
Se: 0.863 0.750 0.070
Se: 0.869 0.032 0.612
Se: 0.869 0.468 0.612